Starting from a structure optimized by DFT (PBE), the X-ray diffraction stick pattern of Pm5Rh5Pb2 was calculated for Cu Kα, 1.54184 Å.
Neutral-atom scattering factors, no anomalous dispersion.

Most intense lines, 2θ = 10–90°, sorted by position:
- 29.6°, rel. 67
- 30.3°, rel. 33
- 32.3°, rel. 59
- 32.6°, rel. 100
- 36.2°, rel. 23
- 36.6°, rel. 22
- 41.7°, rel. 26
- 42.4°, rel. 20
- 43.9°, rel. 16
- 46.9°, rel. 33
- 49.0°, rel. 17
- 58.3°, rel. 18

Unit cell a=14.002 b=3.871 c=11.252 alpha=90.00 beta=100.89 gamma=90.00
Space group C2/m (No. 12)
Asymmetric unit:
Pm 0.000 0.000 0.000 x2
Pm 0.145 0.000 0.550 x4
Pm 0.242 0.500 0.131 x4
Rh 0.000 0.500 0.500 x2
Rh 0.115 0.500 0.889 x4
Rh 0.213 0.000 0.314 x4
Pb 0.058 0.500 0.283 x4

=====

Starting from a structure optimized by DFT (PBE), the X-ray diffraction stick pattern of Pm12Ru2Pb5 was calculated for Cu Kα, 1.54184 Å.
Neutral-atom scattering factors, no anomalous dispersion.

Most intense lines, 2θ = 10–90°, sorted by position:
- 19.3°, rel. 57
- 21.1°, rel. 62
- 29.5°, rel. 100
- 31.1°, rel. 62
- 31.4°, rel. 63
- 33.1°, rel. 74
- 35.8°, rel. 52
- 38.1°, rel. 29
- 39.4°, rel. 43
- 41.1°, rel. 25
- 46.7°, rel. 31
- 48.4°, rel. 29

Unit cell a=17.802 b=7.778 c=10.033 alpha=90.00 beta=106.31 gamma=90.00
Space group C2/m (No. 12)
Asymmetric unit:
Pm 0.002 0.000 0.325 x4
Pm 0.003 0.500 0.732 x4
Pm 0.148 0.250 0.071 x8
Pm 0.158 0.261 0.580 x8
Ru 0.000 0.290 0.500 x4
Pb 0.000 0.000 0.000 x2
Pb 0.191 0.500 0.334 x4
Pb 0.199 0.500 0.859 x4

=====

Starting from a structure optimized by DFT (PBE), the X-ray diffraction stick pattern of Pm7RuPb2 was calculated for Cu Kα, 1.54184 Å.
Neutral-atom scattering factors, no anomalous dispersion.

Most intense lines, 2θ = 10–90°, sorted by position:
- 22.7°, rel. 28
- 27.9°, rel. 88
- 32.3°, rel. 100
- 39.9°, rel. 13
- 46.4°, rel. 73
- 55.0°, rel. 40
- 57.7°, rel. 25
- 62.8°, rel. 7
- 67.7°, rel. 12
- 74.8°, rel. 16
- 77.1°, rel. 32
- 86.1°, rel. 25

Unit cell a=11.070 b=11.070 c=11.070 alpha=90.00 beta=90.00 gamma=90.00
Space group Fm-3m (No. 225)
Asymmetric unit:
Pm 0.000 0.000 0.000 x4
Pm 0.000 0.000 0.259 x24
Ru 0.000 0.000 0.500 x4
Pb 0.250 0.250 0.250 x8

=====

Starting from a structure optimized by DFT (PBE), the X-ray diffraction stick pattern of PmPb3S4 was calculated for Cu Kα, 1.54184 Å.
Neutral-atom scattering factors, no anomalous dispersion.

Most intense lines, 2θ = 10–90°, sorted by position:
- 20.5°, rel. 39
- 21.7°, rel. 93
- 24.9°, rel. 99
- 26.6°, rel. 100
- 30.6°, rel. 84
- 31.3°, rel. 38
- 35.5°, rel. 43
- 35.7°, rel. 33
- 37.8°, rel. 45
- 44.3°, rel. 30
- 47.5°, rel. 40
- 47.7°, rel. 29

Unit cell a=5.846 b=9.175 c=9.012 alpha=90.00 beta=90.00 gamma=90.00
Space group Pmmn (No. 59, origin choice 2)
Asymmetric unit:
Pm 0.250 0.250 0.226 x2
Pb 0.250 0.056 0.648 x4
Pb 0.250 0.750 0.102 x2
S 0.250 0.250 0.928 x2
S 0.250 0.531 0.335 x4
S 0.250 0.750 0.761 x2

=====

Starting from a structure optimized by DFT (PBE), the X-ray diffraction stick pattern of PmSnPb2S5 was calculated for Cu Kα, 1.54184 Å.
Neutral-atom scattering factors, no anomalous dispersion.

Most intense lines, 2θ = 10–90°, sorted by position:
- 22.9°, rel. 87
- 24.5°, rel. 80
- 25.8°, rel. 79
- 26.2°, rel. 63
- 27.1°, rel. 36
- 30.2°, rel. 100
- 31.3°, rel. 54
- 36.1°, rel. 68
- 43.2°, rel. 37
- 43.9°, rel. 35
- 47.1°, rel. 30
- 50.3°, rel. 32

Unit cell a=4.185 b=17.598 c=12.968 alpha=90.00 beta=90.00 gamma=90.00
Space group Cmc2_1 (No. 36)
Asymmetric unit:
Pm 0.000 0.219 0.000 x4
Sn 0.000 0.465 0.444 x4
Pb 0.000 0.118 0.664 x4
Pb 0.000 0.129 0.271 x4
S 0.000 0.059 0.060 x4
S 0.000 0.278 0.649 x4
S 0.000 0.323 0.366 x4
S 0.000 0.376 0.012 x4
S 0.000 0.484 0.762 x4

=====

Starting from a structure optimized by DFT (PBE), the X-ray diffraction stick pattern of PmTm4PbS8 was calculated for Cu Kα, 1.54184 Å.
Neutral-atom scattering factors, no anomalous dispersion.

Most intense lines, 2θ = 10–90°, sorted by position:
- 21.7°, rel. 36
- 22.1°, rel. 27
- 25.5°, rel. 47
- 25.8°, rel. 100
- 26.0°, rel. 53
- 27.1°, rel. 18
- 31.2°, rel. 27
- 40.6°, rel. 24
- 40.9°, rel. 33
- 41.2°, rel. 30
- 44.3°, rel. 55
- 45.1°, rel. 53

Unit cell a=8.0366 b=8.0366 c=20.2093 alpha=90.00 beta=90.00 gamma=120.00
Space group R3m (No. 160, hexagonal axes)
Asymmetric unit:
Pm 0.0000 0.0000 0.0000 x3
Tm 0.0000 0.0000 0.6238 x3
Tm 0.1688 0.3377 0.8304 x9
Pb 0.0000 0.0000 0.3705 x3
S 0.0000 0.0000 0.2315 x3
S 0.0000 0.0000 0.7556 x3
S 0.0303 0.5151 0.7564 x9
S 0.1737 0.3474 0.5758 x9

=====

Starting from a structure optimized by DFT (PBE), the X-ray diffraction stick pattern of Pm4SbPb2 was calculated for Cu Kα, 1.54184 Å.
Neutral-atom scattering factors, no anomalous dispersion.

Most intense lines, 2θ = 10–90°, sorted by position:
- 22.8°, rel. 8
- 29.5°, rel. 100
- 35.1°, rel. 65
- 42.2°, rel. 17
- 44.4°, rel. 12
- 46.5°, rel. 14
- 48.5°, rel. 21
- 59.5°, rel. 24
- 61.2°, rel. 7
- 62.9°, rel. 14
- 72.5°, rel. 14
- 87.6°, rel. 7

Unit cell a=9.581 b=9.581 c=9.560 alpha=90.00 beta=90.00 gamma=90.00
Space group I-42d (No. 122)
Asymmetric unit:
Pm 0.070 0.682 0.447 x16
Sb 0.000 0.000 0.500 x4
Pb 0.125 0.750 0.125 x8

=====

Starting from a structure optimized by DFT (PBE), the X-ray diffraction stick pattern of Pm10Sb3Pb3 was calculated for Cu Kα, 1.54184 Å.
Neutral-atom scattering factors, no anomalous dispersion.

Most intense lines, 2θ = 10–90°, sorted by position:
- 26.9°, rel. 21
- 29.1°, rel. 12
- 29.3°, rel. 27
- 32.3°, rel. 100
- 33.2°, rel. 78
- 33.4°, rel. 47
- 42.7°, rel. 15
- 47.8°, rel. 19
- 51.0°, rel. 28
- 51.3°, rel. 11
- 64.3°, rel. 19
- 66.2°, rel. 13

Unit cell a=9.3020 b=9.3020 c=6.6377 alpha=90.00 beta=90.00 gamma=120.00
Space group P-62m (No. 189)
Asymmetric unit:
Pm 0.0000 0.2432 0.0000 x3
Pm 0.0000 0.7570 0.5000 x3
Pm 0.3333 0.6667 0.2462 x4
Sb 0.0000 0.6110 0.0000 x3
Pb 0.0000 0.3918 0.5000 x3

=====

Starting from a structure optimized by DFT (PBE), the X-ray diffraction stick pattern of TbPmScPb was calculated for Cu Kα, 1.54184 Å.
Neutral-atom scattering factors, no anomalous dispersion.

Most intense lines, 2θ = 10–90°, sorted by position:
- 20.2°, rel. 11
- 23.4°, rel. 8
- 33.3°, rel. 100
- 39.3°, rel. 7
- 41.1°, rel. 3
- 47.8°, rel. 18
- 52.4°, rel. 3
- 53.9°, rel. 4
- 59.5°, rel. 38
- 70.0°, rel. 12
- 79.7°, rel. 16
- 89.2°, rel. 4

Unit cell a=7.607 b=7.607 c=7.607 alpha=90.00 beta=90.00 gamma=90.00
Space group F-43m (No. 216)
Asymmetric unit:
Tb 0.000 0.000 0.000 x4
Pm 0.250 0.250 0.750 x4
Sc 0.000 0.000 0.500 x4
Pb 0.250 0.250 0.250 x4

=====

Starting from a structure optimized by DFT (PBE), the X-ray diffraction stick pattern of Pm3PbSe2 was calculated for Cu Kα, 1.54184 Å.
Neutral-atom scattering factors, no anomalous dispersion.

Most intense lines, 2θ = 10–90°, sorted by position:
- 29.2°, rel. 100
- 41.6°, rel. 13
- 41.7°, rel. 51
- 42.0°, rel. 12
- 51.6°, rel. 14
- 51.9°, rel. 13
- 60.6°, rel. 8
- 68.3°, rel. 6
- 68.5°, rel. 12
- 68.6°, rel. 11
- 76.0°, rel. 13
- 76.6°, rel. 8

Unit cell a=4.345 b=6.125 c=12.906 alpha=90.00 beta=90.00 gamma=90.00
Space group Immm (No. 71)
Asymmetric unit:
Pm 0.000 0.000 0.000 x2
Pm 0.000 0.000 0.325 x4
Pb 0.000 0.500 0.000 x2
Se 0.000 0.500 0.336 x4

=====

Starting from a structure optimized by DFT (PBE), the X-ray diffraction stick pattern of Pm4PbSe was calculated for Cu Kα, 1.54184 Å.
Neutral-atom scattering factors, no anomalous dispersion.

Most intense lines, 2θ = 10–90°, sorted by position:
- 29.0°, rel. 88
- 30.2°, rel. 46
- 30.3°, rel. 47
- 31.5°, rel. 97
- 31.6°, rel. 100
- 32.6°, rel. 95
- 39.8°, rel. 28
- 45.1°, rel. 37
- 45.3°, rel. 37
- 48.6°, rel. 29
- 58.3°, rel. 29
- 59.1°, rel. 32

Unit cell a=5.688 b=7.490 c=9.096 alpha=90.00 beta=107.97 gamma=90.00
Space group P2_1/m (No. 11)
Asymmetric unit:
Pm 0.018 0.250 0.030 x2
Pm 0.197 0.750 0.394 x2
Pm 0.368 0.503 0.740 x4
Pb 0.206 0.250 0.410 x2
Se 0.499 0.750 0.004 x2

=====

Starting from a structure optimized by DFT (PBE), the X-ray diffraction stick pattern of PmPb5Se6 was calculated for Cu Kα, 1.54184 Å.
Neutral-atom scattering factors, no anomalous dispersion.

Most intense lines, 2θ = 10–90°, sorted by position:
- 24.2°, rel. 9
- 25.0°, rel. 16
- 28.8°, rel. 100
- 40.5°, rel. 27
- 40.8°, rel. 13
- 41.5°, rel. 13
- 41.8°, rel. 24
- 49.5°, rel. 9
- 51.3°, rel. 13
- 59.6°, rel. 9
- 66.6°, rel. 13
- 68.5°, rel. 11

Unit cell a=7.783 b=13.068 c=7.456 alpha=90.00 beta=108.96 gamma=90.00
Space group C2/m (No. 12)
Asymmetric unit:
Pm 0.000 0.000 0.000 x2
Pb 0.000 0.166 0.500 x4
Pb 0.000 0.333 0.000 x4
Pb 0.000 0.500 0.500 x2
Se 0.235 0.000 0.751 x4
Se 0.239 0.160 0.240 x8

=====

Which formula does entry 7 have? Pm4SbPb2

=====

Repeat the fifth record exactly.
Starting from a structure optimized by DFT (PBE), the X-ray diffraction stick pattern of PmSnPb2S5 was calculated for Cu Kα, 1.54184 Å.
Neutral-atom scattering factors, no anomalous dispersion.

Most intense lines, 2θ = 10–90°, sorted by position:
- 22.9°, rel. 87
- 24.5°, rel. 80
- 25.8°, rel. 79
- 26.2°, rel. 63
- 27.1°, rel. 36
- 30.2°, rel. 100
- 31.3°, rel. 54
- 36.1°, rel. 68
- 43.2°, rel. 37
- 43.9°, rel. 35
- 47.1°, rel. 30
- 50.3°, rel. 32

Unit cell a=4.185 b=17.598 c=12.968 alpha=90.00 beta=90.00 gamma=90.00
Space group Cmc2_1 (No. 36)
Asymmetric unit:
Pm 0.000 0.219 0.000 x4
Sn 0.000 0.465 0.444 x4
Pb 0.000 0.118 0.664 x4
Pb 0.000 0.129 0.271 x4
S 0.000 0.059 0.060 x4
S 0.000 0.278 0.649 x4
S 0.000 0.323 0.366 x4
S 0.000 0.376 0.012 x4
S 0.000 0.484 0.762 x4